No. 1
# Mg3Ni
Simulated X-ray powder pattern, Cu Ka. Input: a cell relaxed with PBE.

Peak list (8 most intense, 15° ≤ 2θ ≤ 90°, most intense first)
2theta, I/Imax
39.28, 100
40.96, 41
38.68, 33
34.02, 28
17.73, 23
70.41, 16
19.06, 16
52.45, 15

Unit cell a=3.1006 b=4.6558 c=5.0024 alpha=90.00 beta=90.00 gamma=90.00
Element x y z (fractional)
Mg1 0.0000 0.0000 0.0000
Mg2 0.0000 0.5000 0.3586
Mg3 0.5000 0.0000 0.5292
Ni1 0.5000 0.5000 0.8530

***

No. 2
# BaNaCeSbO6
Simulated X-ray powder pattern, Cu Ka. Input: a cell relaxed with PBE.

Peak list (8 most intense, 15° ≤ 2θ ≤ 90°, most intense first)
2theta, I/Imax
29.78, 100
52.85, 40
42.61, 33
85.65, 21
61.84, 20
70.13, 18
18.10, 18
20.94, 16

Unit cell a=6.0009 b=6.0009 c=6.0009 alpha=60.00 beta=60.00 gamma=60.00
Element x y z (fractional)
Ba1 0.0000 0.0000 0.0000
Na1 0.5000 0.5000 0.5000
Ce1 0.7500 0.7500 0.7500
Sb1 0.2500 0.2500 0.2500
O1 0.0127 0.0127 0.4873
O2 0.0127 0.4873 0.0127
O3 0.0127 0.4873 0.4873
O4 0.4873 0.0127 0.0127
O5 0.4873 0.0127 0.4873
O6 0.4873 0.4873 0.0127

***

No. 3
# Sr3OsN3
Simulated X-ray powder pattern, Cu Ka. Input: a cell relaxed with PBE.

Peak list (8 most intense, 15° ≤ 2θ ≤ 90°, most intense first)
2theta, I/Imax
31.26, 100
33.54, 37
21.18, 32
39.01, 27
58.52, 26
28.28, 25
26.31, 25
35.05, 20

Unit cell a=7.8222 b=7.8222 c=5.3442 alpha=90.00 beta=90.00 gamma=120.00
Element x y z (fractional)
Sr1 0.0991 0.3594 0.2500
Sr2 0.2603 0.9009 0.2500
Sr3 0.3594 0.2603 0.7500
Sr4 0.6406 0.7397 0.2500
Sr5 0.7397 0.0991 0.7500
Sr6 0.9009 0.6406 0.7500
Os1 0.3333 0.6667 0.7500
Os2 0.6667 0.3333 0.2500
N1 0.1102 0.4146 0.7500
N2 0.3044 0.8898 0.7500
N3 0.4146 0.3044 0.2500
N4 0.5854 0.6956 0.7500
N5 0.6956 0.1102 0.2500
N6 0.8898 0.5854 0.2500

***

No. 4
# RbNdP4O12
Simulated X-ray powder pattern, Cu Ka. Input: a cell relaxed with PBE.

Peak list (8 most intense, 15° ≤ 2θ ≤ 90°, most intense first)
2theta, I/Imax
26.81, 100
25.47, 80
18.56, 59
23.63, 53
16.14, 47
23.87, 44
26.67, 40
27.34, 34

Unit cell a=7.6888 b=7.6888 c=10.8215 alpha=100.90 beta=100.90 gamma=116.72
Element x y z (fractional)
Rb1 0.1925 0.8075 0.7500
Rb2 0.8075 0.1925 0.2500
Nd1 0.1228 0.8772 0.2500
Nd2 0.8772 0.1228 0.7500
P1 0.2520 0.3055 0.5495
P2 0.2932 0.6193 0.0110
P3 0.3055 0.2520 0.0495
P4 0.3807 0.7068 0.4890
P5 0.6193 0.2932 0.5110
P6 0.6945 0.7480 0.9505
P7 0.7068 0.3807 0.9890
P8 0.7480 0.6945 0.4505
O1 0.1008 0.4858 0.8956
O2 0.1408 0.1641 0.4094
O3 0.1641 0.1408 0.9094
O4 0.1697 0.2515 0.6593
O5 0.2050 0.6891 0.3881
O6 0.2515 0.1697 0.1593
O7 0.2786 0.5274 0.5551
O8 0.3109 0.7950 0.1119
O9 0.3576 0.4888 0.0898
O10 0.4726 0.7214 0.9449
O11 0.4858 0.1008 0.3956
O12 0.4888 0.3576 0.5898
O13 0.5112 0.6424 0.4102
O14 0.5142 0.8992 0.6044
O15 0.5274 0.2786 0.0551
O16 0.6424 0.5112 0.9102
O17 0.6891 0.2050 0.8881
O18 0.7214 0.4726 0.4449
O19 0.7485 0.8303 0.8407
O20 0.7950 0.3109 0.6119
O21 0.8303 0.7485 0.3407
O22 0.8359 0.8592 0.0906
O23 0.8592 0.8359 0.5906
O24 0.8992 0.5142 0.1044

***

No. 5
# CsTe3Mo3
Simulated X-ray powder pattern, Cu Ka. Input: a cell relaxed with PBE.

Peak list (8 most intense, 15° ≤ 2θ ≤ 90°, most intense first)
2theta, I/Imax
25.37, 100
38.74, 99
46.84, 63
28.77, 63
39.98, 43
38.90, 39
49.09, 28
42.32, 28

Unit cell a=10.7447 b=4.6309 c=10.7520 alpha=90.00 beta=119.96 gamma=90.00
Element x y z (fractional)
Cs1 0.1664 0.2500 0.3333
Cs2 0.8336 0.7500 0.6667
Te1 0.1934 0.2500 0.6982
Te2 0.1977 0.7500 0.0047
Te3 0.4956 0.7500 0.6936
Te4 0.5044 0.2500 0.3064
Te5 0.8023 0.2500 0.9953
Te6 0.8066 0.7500 0.3018
Mo1 0.3558 0.7500 0.8574
Mo2 0.3572 0.2500 0.0016
Mo3 0.4986 0.2500 0.8559
Mo4 0.5014 0.7500 0.1441
Mo5 0.6428 0.7500 0.9984
Mo6 0.6442 0.2500 0.1426

***

No. 6
# Sc4MnSi7
Simulated X-ray powder pattern, Cu Ka. Input: a cell relaxed with PBE.

Peak list (8 most intense, 15° ≤ 2θ ≤ 90°, most intense first)
2theta, I/Imax
38.99, 100
38.41, 16
47.33, 16
49.64, 14
82.37, 10
85.85, 9
71.02, 9
64.45, 8

Unit cell a=3.6729 b=3.8411 c=14.0610 alpha=90.00 beta=90.00 gamma=90.00
Element x y z (fractional)
Sc1 0.0000 0.0000 0.0000
Sc2 0.0000 0.5000 0.4831
Sc3 0.5000 0.0000 0.7871
Sc4 0.5000 0.5000 0.3011
Mn1 0.0000 0.0000 0.2898
Si1 0.0000 0.0000 0.6296
Si2 0.0000 0.5000 0.1554
Si3 0.0000 0.5000 0.8305
Si4 0.5000 0.0000 0.1555
Si5 0.5000 0.0000 0.4291
Si6 0.5000 0.5000 0.6400
Si7 0.5000 0.5000 0.9411

***

No. 7
# CuSnH12N2O6
Simulated X-ray powder pattern, Cu Ka. Input: a cell relaxed with PBE.

Peak list (8 most intense, 15° ≤ 2θ ≤ 90°, most intense first)
2theta, I/Imax
17.92, 100
22.06, 56
31.39, 47
23.37, 41
39.82, 28
37.08, 21
32.44, 18
36.10, 16

Unit cell a=4.9642 b=5.7529 c=6.7227 alpha=107.67 beta=92.28 gamma=92.95
Element x y z (fractional)
Cu1 0.0000 0.0000 0.0000
Sn1 0.0000 0.5000 0.0000
H1 0.0185 0.7491 0.6110
H2 0.2947 0.1242 0.4235
H3 0.2971 0.5543 0.4102
H4 0.3335 0.3721 0.7730
H5 0.3340 0.9130 0.2652
H6 0.4510 0.1504 0.1548
H7 0.5490 0.8496 0.8452
H8 0.6660 0.0870 0.7348
H9 0.6665 0.6279 0.2270
H10 0.7029 0.4457 0.5898
H11 0.7053 0.8758 0.5765
H12 0.9815 0.2509 0.3890
N1 0.3023 0.0546 0.2386
N2 0.6977 0.9454 0.7614
O1 0.1061 0.7815 0.7922
O2 0.1600 0.3517 0.7175
O3 0.3289 0.6137 0.2342
O4 0.6711 0.3863 0.7658
O5 0.8400 0.6483 0.2825
O6 0.8939 0.2185 0.2078

***

No. 8
# Sc5Si4
Simulated X-ray powder pattern, Cu Ka. Input: a cell relaxed with PBE.

Peak list (8 most intense, 15° ≤ 2θ ≤ 90°, most intense first)
2theta, I/Imax
34.39, 100
40.54, 83
36.44, 65
38.89, 55
34.61, 46
35.85, 36
36.72, 34
39.64, 26

Unit cell a=7.0295 b=13.6432 c=7.1418 alpha=90.00 beta=90.00 gamma=90.00
Element x y z (fractional)
Sc1 0.0236 0.0993 0.1791
Sc2 0.0236 0.4007 0.1791
Sc3 0.1240 0.6211 0.3314
Sc4 0.1240 0.8789 0.3314
Sc5 0.2080 0.2500 0.5014
Sc6 0.2920 0.7500 0.0014
Sc7 0.3760 0.1211 0.8314
Sc8 0.3760 0.3789 0.8314
Sc9 0.4764 0.5993 0.6791
Sc10 0.4764 0.9007 0.6791
Sc11 0.5236 0.0993 0.3209
Sc12 0.5236 0.4007 0.3209
Sc13 0.6240 0.6211 0.1686
Sc14 0.6240 0.8789 0.1686
Sc15 0.7080 0.2500 0.9986
Sc16 0.7920 0.7500 0.4986
Sc17 0.8760 0.1211 0.6686
Sc18 0.8760 0.3789 0.6686
Sc19 0.9764 0.5993 0.8209
Sc20 0.9764 0.9007 0.8209
Si1 0.0808 0.2500 0.8896
Si2 0.1740 0.7500 0.6340
Si3 0.2090 0.0412 0.5330
Si4 0.2090 0.4588 0.5330
Si5 0.2910 0.5412 0.0330
Si6 0.2910 0.9588 0.0330
Si7 0.3260 0.2500 0.1340
Si8 0.4192 0.7500 0.3896
Si9 0.5808 0.2500 0.6104
Si10 0.6740 0.7500 0.8660
Si11 0.7090 0.0412 0.9670
Si12 0.7090 0.4588 0.9670
Si13 0.7910 0.5412 0.4670
Si14 0.7910 0.9588 0.4670
Si15 0.8260 0.2500 0.3660
Si16 0.9192 0.7500 0.1104